Starting from a DFT-relaxed cell (GGA-PBE, Alexandria), the powder diffraction line list of Pm2NdIn2 was simulated for Cu Kα, 1.54184 Å.
Kinematic intensities with the Lorentz-polarization factor, no thermal factor.

Main lines, by angle (2θ = 10–90°):
hkl 1 5 1, 31.68 deg, rel. 1000; hkl 0 10 0, 34.38 deg, rel. 179; hkl 0 0 2, 35.68 deg, rel. 189; hkl 2 0 0, 39.97 deg, rel. 138; hkl 0 10 2, 50.39 deg, rel. 120; hkl 1 5 3, 61.60 deg, rel. 146

Crystal structure
```
data_Pm2NdIn2
_chemical_formula_sum 'Pm8 Nd4 In8'
_space_group_name_H-M_alt 'C m c m'
_space_group_IT_number 63
_space_group_name_Hall '-C 2c 2'
_cell_length_a 4.5109
_cell_length_b 26.0823
_cell_length_c 5.0333
_cell_angle_alpha 90.00
_cell_angle_beta 90.00
_cell_angle_gamma 90.00
loop_
_atom_site_label
_atom_site_type_symbol
_atom_site_fract_x
_atom_site_fract_y
_atom_site_fract_z
_atom_site_occupancy
Pm1 Pm 0.0000 0.0491 0.2500 1
Pm2 Pm 0.0000 0.2389 0.2500 1
Nd1 Nd 0.0000 0.1438 0.7500 1
In1 In 0.0000 0.3508 0.7500 1
In2 In 0.0000 0.4539 0.2500 1
```

***

Starting from a DFT-relaxed cell (GGA-PBE, Alexandria), the powder diffraction line list of AcScCuO4 was simulated for Cu Kα, 1.54184 Å.
Kinematic intensities with the Lorentz-polarization factor, no thermal factor.

Main lines, by angle (2θ = 10–90°):
hkl 1 0 1, 16.67 deg, rel. 460; hkl 0 0 2, 19.50 deg, rel. 404; hkl 1 2 1, 27.11 deg, rel. 1000; hkl 2 0 2, 33.71 deg, rel. 260; hkl 1 2 3, 39.16 deg, rel. 393; hkl 3 2 1, 48.05 deg, rel. 246

Crystal structure
```
data_AcScCuO4
_chemical_formula_sum 'Ac4 Sc4 Cu4 O16'
_space_group_name_H-M_alt 'I m m a'
_space_group_IT_number 74
_space_group_name_Hall '-I 2b 2'
_cell_length_a 6.5509
_cell_length_b 8.3704
_cell_length_c 9.1040
_cell_angle_alpha 90.00
_cell_angle_beta 90.00
_cell_angle_gamma 90.00
loop_
_atom_site_label
_atom_site_type_symbol
_atom_site_fract_x
_atom_site_fract_y
_atom_site_fract_z
_atom_site_occupancy
Ac1 Ac 0.0000 0.0000 0.0000 1
Sc1 Sc 0.2500 0.2500 0.2500 1
Cu1 Cu 0.0000 0.2500 0.4970 1
O1 O 0.0000 0.0861 0.2591 1
O2 O 0.2221 0.2500 0.0136 1
```